For Pm2NiBiO6, DFT lattice parameters and positions (PBE+U) gives the theoretical powder X-ray diffraction pattern in this record (copper Kα).

Crystal structure
abc: 5.6269 5.9275 9.8566
angles: 90.00 122.90 90.00
Space group P2_1/c (No. 14)
Asymmetric unit:
Pm (0.2200, 0.0653, 0.2467)
Ni (0.0000, 0.0000, 0.5000)
Bi (0.5000, 0.0000, 0.0000)
O (0.1150, 0.2053, 0.9319)
O (0.2229, 0.6906, 0.9290)
O (0.3740, 0.0563, 0.7408)

The 10 most intense peaks (10° ≤ 2θ ≤ 80°), sorted by position:
Position (°2θ), intensity
18.4, 25
30.2, 39
30.4, 100
31.2, 95
31.8, 42
36.7, 22
43.8, 24
44.4, 34
54.2, 23
56.7, 22